This entry pairs a crystal structure of YTmCr2O8 with its theoretical PXRD pattern. Radiation: Cu Kα. Structure: DFT lattice parameters and positions (GGA+U).

Peak list (10 most intense, 5° ≤ 2θ ≤ 70°, in order of rising 2θ)
| 2θ (°) | Rel. int. | hkl |
| --- | --- | --- |
| 18.8 | 321 | 1 0 1 |
| 24.8 | 1000 | 2 0 0 |
| 33.6 | 667 | 1 1 2 |
| 35.4 | 196 | 2 2 0 |
| 40.4 | 133 | 3 0 1 |
| 48.0 | 111 | 3 2 1 |
| 49.6 | 571 | 3 1 2 |
| 50.9 | 157 | 4 0 0 |
| 57.4 | 128 | 4 2 0 |
| 62.4 | 170 | 3 3 2 |

Structure:
```
data_YTmCr2O8
_chemical_formula_sum 'Y2 Tm2 Cr4 O16'
_space_group_name_H-M_alt 'I -4 m 2'
_space_group_IT_number 119
_space_group_name_Hall 'I -4 -2'
_cell_length_a 7.174
_cell_length_b 7.174
_cell_length_c 6.269
_cell_angle_alpha 90.00
_cell_angle_beta 90.00
_cell_angle_gamma 90.00
loop_
_atom_site_label
_atom_site_type_symbol
_atom_site_fract_x
_atom_site_fract_y
_atom_site_fract_z
_atom_site_occupancy
Y1 Y 0.000 0.000 0.000 1
Tm1 Tm 0.000 0.500 0.750 1
Cr1 Cr 0.000 0.000 0.500 1
Cr2 Cr 0.000 0.500 0.250 1
O1 O 0.000 0.186 0.674 1
O2 O 0.000 0.317 0.073 1
```